Computed powder diffractogram of GdMn2O4 for CuKα, from a crystal structure in Alexandria, relaxed with PBE+U.
Neutral-atom scattering factors, no anomalous dispersion.

Structural model:
```
GdMn2O4
1.0
5.7319 -3.1124 0.0000
5.7319 3.1124 0.0000
-3.3761 0.0000 5.3048
Gd Mn O
2 4 8
Cartesian
0.1122 0.0000 2.0683 Gd
7.9755 0.0000 3.2365 Gd
2.8660 1.5562 0.0000 Mn
2.8660 -1.5562 0.0000 Mn
5.7319 0.0000 0.0000 Mn
4.0439 0.0000 2.6524 Mn
2.1088 0.0000 1.1481 O
0.3754 0.0000 4.2415 O
4.7139 1.3674 1.4084 O
3.3738 1.3674 3.8964 O
4.7139 -1.3674 1.4084 O
3.3738 -1.3674 3.8964 O
7.7124 0.0000 1.0633 O
5.9790 0.0000 4.1567 O
```

Main lines, sorted by position (2θ from 5° to 70°):
2theta	Rel. int.
27.2	69
27.5	68
28.4	30
28.7	31
31.2	56
33.1	33
33.4	100
33.5	41
56.1	36
56.7	34